Entry 1:
This entry pairs a crystal structure of Th2Ni17H3 with its calculated powder X-ray diffraction pattern. Radiation: a wavelength of 1.5418 Å. Structure: the GGA-PBE geometry in Alexandria.

Cell and atoms:
```
Th2Ni17H3
1.0
4.226 2.440 4.035
-4.226 2.440 4.035
0.000 -4.880 4.035
Th Ni H
2 17 3
Cartesian
0.000 0.000 1.965
0.000 0.000 10.141
-2.113 -1.220 4.035
0.000 -2.426 3.871
-2.101 1.213 3.871
-1.220 -2.113 6.053
-2.440 0.000 6.053
-2.101 -1.213 8.236
0.000 0.000 4.846
-2.113 1.220 8.071
1.220 -2.113 6.053
0.000 2.440 4.035
-1.220 2.113 6.053
0.000 0.000 7.261
2.101 1.213 3.871
2.440 0.000 6.053
1.220 2.113 6.053
2.101 -1.213 8.236
0.000 2.426 8.236
-4.226 0.000 6.053
-2.113 1.220 2.018
2.113 1.220 2.018
```

Largest 8 diffraction maxima, in order of falling intensity, 2θ from 5° to 70°:
d = 2.088 Å, 43.34 deg, I = 100
d = 2.113 Å, 42.80 deg, I = 65
d = 2.919 Å, 30.63 deg, I = 55
d = 2.018 Å, 44.91 deg, I = 46
d = 2.440 Å, 36.84 deg, I = 46
d = 2.332 Å, 38.60 deg, I = 28
d = 1.485 Å, 62.54 deg, I = 23
d = 1.459 Å, 63.78 deg, I = 20

---

Entry 2:
This entry pairs a crystal structure of Nd3CdIr with its calculated powder X-ray diffraction pattern. Radiation: a wavelength of 1.5418 Å. Structure: the GGA-PBE geometry in Alexandria.

Cell and atoms:
```
Nd3CdIr
1.0
0.000 5.009 8.201
3.420 0.000 8.201
3.420 5.009 0.000
Nd Cd Ir
6 2 2
Cartesian
3.420 3.092 6.409
3.420 5.009 3.313
3.420 3.092 9.994
3.420 6.925 6.409
3.420 5.009 13.090
3.420 6.925 9.994
5.453 5.009 8.201
1.387 5.009 8.201
1.710 2.504 4.101
5.130 7.513 12.302
```

Largest 8 diffraction maxima, in order of falling intensity, 2θ from 5° to 70°:
d = 2.671 Å, 33.56 deg, I = 100
d = 2.627 Å, 34.12 deg, I = 80
d = 2.952 Å, 30.28 deg, I = 51
d = 2.837 Å, 31.54 deg, I = 46
d = 2.399 Å, 37.49 deg, I = 46
d = 2.326 Å, 38.71 deg, I = 40
d = 8.201 Å, 10.79 deg, I = 32
d = 1.659 Å, 55.39 deg, I = 27

---

Entry 3:
This entry pairs a crystal structure of Rb4Pm3ErSe8 with its calculated powder X-ray diffraction pattern. Radiation: a wavelength of 1.5418 Å. Structure: the GGA-PBE geometry in Alexandria.

Cell and atoms:
```
Rb4Pm3ErSe8
1.0
4.315 2.491 8.012
-4.315 2.491 8.012
0.000 -4.982 8.012
Rb Pm Er Se
4 3 1 8
Cartesian
0.000 0.000 0.000
-2.157 -1.246 8.012
-2.157 1.246 16.024
0.000 2.491 8.012
-4.315 0.000 12.018
-2.157 1.246 4.006
2.157 1.246 4.006
0.000 0.000 12.018
0.000 0.000 5.615
-2.109 -1.218 13.600
0.000 -2.435 10.436
-2.109 1.218 10.436
2.109 -1.218 13.600
0.000 2.435 13.600
2.109 1.218 10.436
0.000 0.000 18.421
```

Largest 8 diffraction maxima, in order of falling intensity, 2θ from 5° to 70°:
d = 3.173 Å, 28.12 deg, I = 100
d = 2.157 Å, 41.87 deg, I = 36
d = 2.341 Å, 38.45 deg, I = 34
d = 8.012 Å, 11.04 deg, I = 26
d = 1.784 Å, 51.20 deg, I = 19
d = 1.375 Å, 68.21 deg, I = 16
d = 2.528 Å, 35.51 deg, I = 11
d = 1.468 Å, 63.36 deg, I = 11